[1]
# CeCdIn6
Computed X-ray diffraction stick pattern, Cu Kα X-rays. Input: DFT lattice parameters and positions (GGA-PBE).
Lines closer than 0.1° are merged.

Top 6 peaks for 10 to 90 degrees two-theta, in order of rising 2θ:
(hkl), 2θ (°), d (Å), Rel. int.
0 4 0, 32.33, 2.769, 33
2 2 1, 33.64, 2.664, 100
0 0 2, 36.26, 2.477, 23
0 4 2, 49.35, 1.847, 16
4 4 0, 58.45, 1.579, 20
2 2 3, 63.57, 1.464, 15

Cell and atoms:
```
data_CeCdIn6
_chemical_formula_sum 'Ce2 Cd2 In12'
_cell_length_a 7.6933
_cell_length_b 11.0834
_cell_length_c 4.9545
_cell_angle_alpha 90.00
_cell_angle_beta 90.00
_cell_angle_gamma 90.00
_symmetry_space_group_name_H-M 'C m m m'
_symmetry_Int_Tables_number 65
_symmetry_space_group_name_Hall '-C 2 2'
loop_
_atom_site_label
_atom_site_fract_x
_atom_site_fract_y
_atom_site_fract_z
Ce1 0.0000 0.0000 0.0000
Cd1 0.0000 0.5000 0.0000
In1 0.0000 0.2142 0.5000
In2 0.2093 0.5000 0.5000
In3 0.2500 0.2500 0.0000
```

[2]
# Se2Cl3F2
Computed X-ray diffraction stick pattern, Cu Kα X-rays. Input: DFT lattice parameters and positions (GGA-PBE).
Lines closer than 0.1° are merged.

Top 6 peaks for 10 to 90 degrees two-theta, in order of rising 2θ:
(hkl), 2θ (°), d (Å), Rel. int.
0 1 0, 17.00, 5.216, 100
0 0 2, 20.03, 4.434, 67
0 1 -2, 22.80, 3.899, 61
-1 1 1, 28.07, 3.179, 31
1 1 0, 33.70, 2.660, 51
0 1 -4, 39.95, 2.257, 28

Cell and atoms:
```
data_Se2Cl3F2
_chemical_formula_sum 'Se2 Cl3 F2'
_cell_length_a 3.8189
_cell_length_b 5.5982
_cell_length_c 9.1702
_cell_angle_alpha 103.57
_cell_angle_beta 91.82
_cell_angle_gamma 105.64
_symmetry_space_group_name_H-M 'P -1'
_symmetry_Int_Tables_number 2
_symmetry_space_group_name_Hall '-P 1'
loop_
_atom_site_label
_atom_site_fract_x
_atom_site_fract_y
_atom_site_fract_z
Se1 0.0520 0.4154 0.2493
Cl1 0.0000 0.5000 0.0000
Cl2 0.3347 0.2810 0.6512
F1 0.3104 0.1833 0.1804
```

[3]
# CeSi2Bi2Pt7
Computed X-ray diffraction stick pattern, Cu Kα X-rays. Input: DFT lattice parameters and positions (GGA-PBE).
Lines closer than 0.1° are merged.

Top 6 peaks for 10 to 90 degrees two-theta, in order of rising 2θ:
(hkl), 2θ (°), d (Å), Rel. int.
0 0 4, 23.42, 3.799, 34
2 0 0, 32.00, 2.797, 60
2 0 -3, 33.63, 2.665, 52
2 0 2, 36.20, 2.481, 100
2 0 4, 43.57, 2.077, 54
2 2 -1, 45.05, 2.012, 74

Cell and atoms:
```
data_CeSi2Bi2Pt7
_chemical_formula_sum 'Ce2 Si4 Bi4 Pt14'
_cell_length_a 5.6924
_cell_length_b 5.6911
_cell_length_c 15.4575
_cell_angle_alpha 90.00
_cell_angle_beta 100.54
_cell_angle_gamma 90.00
_symmetry_space_group_name_H-M 'C 1 2/m 1'
_symmetry_Int_Tables_number 12
_symmetry_space_group_name_Hall '-C 2y'
loop_
_atom_site_label
_atom_site_fract_x
_atom_site_fract_y
_atom_site_fract_z
Ce1 0.0000 0.0000 0.0000
Si1 0.1172 0.5000 0.2368
Bi1 0.2094 0.0000 0.4200
Pt1 0.0000 0.5000 0.0000
Pt2 0.1775 0.2500 0.8532
Pt3 0.1945 0.5000 0.3900
```

[4]
# Dy3Al3Cd2
Computed X-ray diffraction stick pattern, Cu Kα X-rays. Input: DFT lattice parameters and positions (GGA-PBE).
Lines closer than 0.1° are merged.

Top 6 peaks for 10 to 90 degrees two-theta, in order of rising 2θ:
(hkl), 2θ (°), d (Å), Rel. int.
0 0 4, 24.03, 3.703, 40
1 3 1, 31.66, 2.826, 67
1 1 4, 32.16, 2.783, 100
0 4 1, 32.67, 2.741, 33
1 3 3, 36.11, 2.488, 72
2 0 0, 39.63, 2.274, 61

Cell and atoms:
```
data_Dy3Al3Cd2
_chemical_formula_sum 'Dy12 Al12 Cd8'
_cell_length_a 4.5482
_cell_length_b 11.1547
_cell_length_c 14.8297
_cell_angle_alpha 90.00
_cell_angle_beta 90.00
_cell_angle_gamma 90.00
_symmetry_space_group_name_H-M 'C m c m'
_symmetry_Int_Tables_number 63
_symmetry_space_group_name_Hall '-C 2c 2'
loop_
_atom_site_label
_atom_site_fract_x
_atom_site_fract_y
_atom_site_fract_z
Dy1 0.0000 0.0768 0.1150
Dy2 0.0000 0.3496 0.2500
Al1 0.0000 0.3627 0.7500
Al2 0.0000 0.3992 0.0439
Cd1 0.0000 0.2155 0.5946
```

[5]
# Ti2CdPtO8
Computed X-ray diffraction stick pattern, Cu Kα X-rays. Input: DFT lattice parameters and positions (GGA-PBE).
Lines closer than 0.1° are merged.

Top 6 peaks for 10 to 90 degrees two-theta, in order of rising 2θ:
(hkl), 2θ (°), d (Å), Rel. int.
1 0 0, 18.88, 4.701, 63
1 0 -1, 26.55, 3.358, 65
1 0 1, 27.09, 3.292, 58
1 2 0, 34.00, 2.637, 100
1 2 1, 39.36, 2.289, 28
2 2 1, 52.43, 1.745, 37

Cell and atoms:
```
data_Ti2CdPtO8
_chemical_formula_sum 'Ti2 Cd1 Pt1 O8'
_cell_length_a 4.6920
_cell_length_b 6.3712
_cell_length_c 4.7120
_cell_angle_alpha 90.00
_cell_angle_beta 91.14
_cell_angle_gamma 90.00
_symmetry_space_group_name_H-M 'P 1 2/m 1'
_symmetry_Int_Tables_number 10
_symmetry_space_group_name_Hall '-P 2y'
loop_
_atom_site_label
_atom_site_fract_x
_atom_site_fract_y
_atom_site_fract_z
Ti1 0.0000 0.2373 0.0000
Cd1 0.5000 0.0000 0.5000
Pt1 0.5000 0.5000 0.5000
O1 0.1790 0.0000 0.8257
O2 0.2074 0.5000 0.7965
O3 0.2852 0.2820 0.2894
```

[6]
# LaPb
Computed X-ray diffraction stick pattern, Cu Kα X-rays. Input: DFT lattice parameters and positions (GGA-PBE).
Lines closer than 0.1° are merged.

Top 6 peaks for 10 to 90 degrees two-theta, in order of rising 2θ:
(hkl), 2θ (°), d (Å), Rel. int.
0 0 2, 26.80, 3.326, 57
1 1 0, 28.25, 3.160, 100
0 2 0, 32.59, 2.748, 35
1 1 2, 39.33, 2.291, 84
0 2 2, 42.68, 2.119, 36
1 3 2, 62.70, 1.482, 22

Cell and atoms:
```
data_LaPb
_chemical_formula_sum 'La2 Pb2'
_cell_length_a 3.8616
_cell_length_b 5.4952
_cell_length_c 6.6522
_cell_angle_alpha 90.00
_cell_angle_beta 90.00
_cell_angle_gamma 90.00
_symmetry_space_group_name_H-M 'I m m m'
_symmetry_Int_Tables_number 71
_symmetry_space_group_name_Hall '-I 2 2'
loop_
_atom_site_label
_atom_site_fract_x
_atom_site_fract_y
_atom_site_fract_z
La1 0.0000 0.0000 0.0000
Pb1 0.0000 0.0000 0.5000
```

[7]
# Li2CoNi
Computed X-ray diffraction stick pattern, Cu Kα X-rays. Input: DFT lattice parameters and positions (GGA-PBE).
Lines closer than 0.1° are merged.

Top 6 peaks for 10 to 90 degrees two-theta, in order of rising 2θ:
(hkl), 2θ (°), d (Å), Rel. int.
0 1 0, 20.67, 4.298, 100
0 2 0, 42.05, 2.149, 21
1 0 1, 43.60, 2.076, 19
0 1 2, 46.43, 1.956, 31
1 1 -1, 46.76, 1.943, 30
1 1 1, 48.71, 1.869, 19

Cell and atoms:
```
data_Li2CoNi
_chemical_formula_sum 'Li2 Co1 Ni1'
_cell_length_a 2.4321
_cell_length_b 4.2978
_cell_length_c 4.3993
_cell_angle_alpha 90.00
_cell_angle_beta 93.23
_cell_angle_gamma 90.00
_symmetry_space_group_name_H-M 'P 1 2/m 1'
_symmetry_Int_Tables_number 10
_symmetry_space_group_name_Hall '-P 2y'
loop_
_atom_site_label
_atom_site_fract_x
_atom_site_fract_y
_atom_site_fract_z
Li1 0.2461 0.0000 0.2505
Co1 0.5000 0.5000 0.0000
Ni1 0.0000 0.5000 0.5000
```

[8]
# Hf3P2H6
Computed X-ray diffraction stick pattern, Cu Kα X-rays. Input: DFT lattice parameters and positions (GGA-PBE).
Lines closer than 0.1° are merged.

Top 6 peaks for 10 to 90 degrees two-theta, in order of rising 2θ:
(hkl), 2θ (°), d (Å), Rel. int.
0 0 1, 26.56, 3.356, 34
1 1 0, 28.07, 3.179, 94
1 1 1, 39.03, 2.308, 100
3 0 0, 49.68, 1.835, 25
3 0 1, 57.21, 1.610, 20
1 1 2, 62.61, 1.484, 20

Cell and atoms:
```
data_Hf3P2H6
_chemical_formula_sum 'Hf3 P2 H6'
_cell_length_a 6.3571
_cell_length_b 6.3571
_cell_length_c 3.3556
_cell_angle_alpha 90.00
_cell_angle_beta 90.00
_cell_angle_gamma 120.00
_symmetry_space_group_name_H-M 'P -6 2 m'
_symmetry_Int_Tables_number 189
_symmetry_space_group_name_Hall 'P -6 -2'
loop_
_atom_site_label
_atom_site_fract_x
_atom_site_fract_y
_atom_site_fract_z
Hf1 0.0000 0.3620 0.0000
P1 0.3333 0.6667 0.5000
H1 0.0000 0.1968 0.5000
H2 0.0000 0.6953 0.0000
```

[9]
# ThU3Re8
Computed X-ray diffraction stick pattern, Cu Kα X-rays. Input: DFT lattice parameters and positions (GGA-PBE).
Lines closer than 0.1° are merged.

Top 6 peaks for 10 to 90 degrees two-theta, in order of rising 2θ:
(hkl), 2θ (°), d (Å), Rel. int.
1 1 -3, 36.28, 2.476, 76
2 0 -3, 36.93, 2.434, 100
0 2 2, 37.20, 2.417, 90
2 2 -1, 37.98, 2.369, 99
2 2 1, 38.39, 2.345, 93
3 1 2, 40.64, 2.220, 75

Cell and atoms:
```
data_ThU3Re8
_chemical_formula_sum 'Th2 U6 Re16'
_cell_length_a 8.9271
_cell_length_b 5.8744
_cell_length_c 8.5121
_cell_angle_alpha 90.00
_cell_angle_beta 92.03
_cell_angle_gamma 90.00
_symmetry_space_group_name_H-M 'C 1 m 1'
_symmetry_Int_Tables_number 8
_symmetry_space_group_name_Hall 'C -2y'
loop_
_atom_site_label
_atom_site_fract_x
_atom_site_fract_y
_atom_site_fract_z
Th1 0.0000 0.0000 0.0000
U1 0.1707 0.5000 0.1597
U2 0.1811 0.5000 0.4871
U3 0.4978 0.5000 0.6343
Re1 0.0138 0.5000 0.8196
Re2 0.1675 0.0000 0.3210
Re3 0.2496 0.2521 0.8117
Re4 0.3399 0.0000 0.0688
Re5 0.3401 0.0000 0.5689
Re6 0.4259 0.2527 0.3235
```

[10]
# Er3TiTl3S8
Computed X-ray diffraction stick pattern, Cu Kα X-rays. Input: DFT lattice parameters and positions (GGA-PBE).
Lines closer than 0.1° are merged.

Top 6 peaks for 10 to 90 degrees two-theta, in order of rising 2θ:
(hkl), 2θ (°), d (Å), Rel. int.
0 1 2, 15.33, 5.780, 27
0 0 6, 23.43, 3.797, 31
2 0 2, 27.73, 3.217, 54
0 2 4, 30.95, 2.890, 100
2 0 8, 41.61, 2.171, 39
2 2 0, 46.93, 1.936, 32

Cell and atoms:
```
data_Er3TiTl3S8
_chemical_formula_sum 'Er9 Ti3 Tl9 S24'
_cell_length_a 7.7444
_cell_length_b 7.7444
_cell_length_c 22.7827
_cell_angle_alpha 90.00
_cell_angle_beta 90.00
_cell_angle_gamma 120.00
_symmetry_space_group_name_H-M 'R -3 m'
_symmetry_Int_Tables_number 166
_symmetry_space_group_name_Hall '-R 3 2"'
loop_
_atom_site_label
_atom_site_fract_x
_atom_site_fract_y
_atom_site_fract_z
Er1 0.0000 0.5000 0.0000
Ti1 0.0000 0.0000 0.0000
Tl1 0.0000 0.5000 0.5000
S1 0.0000 0.0000 0.2674
S2 0.0262 0.5131 0.7288
```

[11]
# SmEr2Tl2
Computed X-ray diffraction stick pattern, Cu Kα X-rays. Input: DFT lattice parameters and positions (GGA-PBE).
Lines closer than 0.1° are merged.

Top 6 peaks for 10 to 90 degrees two-theta, in order of rising 2θ:
(hkl), 2θ (°), d (Å), Rel. int.
1 1 1, 32.04, 2.794, 100
1 0 -3, 33.90, 2.644, 63
2 -1 0, 34.13, 2.627, 31
2 1 -2, 47.52, 1.914, 22
2 0 4, 59.46, 1.554, 11
-3 1 3, 60.95, 1.520, 12

Cell and atoms:
```
data_SmEr2Tl2
_chemical_formula_sum 'Sm2 Er4 Tl4'
_cell_length_a 5.2547
_cell_length_b 6.6137
_cell_length_c 9.1806
_cell_angle_alpha 103.13
_cell_angle_beta 90.03
_cell_angle_gamma 113.33
_symmetry_space_group_name_H-M 'P -1'
_symmetry_Int_Tables_number 2
_symmetry_space_group_name_Hall '-P 1'
loop_
_atom_site_label
_atom_site_fract_x
_atom_site_fract_y
_atom_site_fract_z
Sm1 0.0674 0.1329 0.3530
Er1 0.2519 0.5028 0.7529
Er2 0.4308 0.8603 0.1395
Tl1 0.1356 0.2725 0.0407
Tl2 0.3635 0.7290 0.4470
```

[12]
# Ho5ErMg3
Computed X-ray diffraction stick pattern, Cu Kα X-rays. Input: DFT lattice parameters and positions (GGA-PBE).
Lines closer than 0.1° are merged.

Top 6 peaks for 10 to 90 degrees two-theta, in order of rising 2θ:
(hkl), 2θ (°), d (Å), Rel. int.
2 2 1, 27.76, 3.214, 44
1 3 -1, 31.04, 2.881, 67
4 0 -1, 31.56, 2.835, 38
2 2 -3, 31.68, 2.824, 100
2 2 2, 31.94, 2.802, 37
4 0 -2, 32.42, 2.762, 57

Cell and atoms:
```
data_Ho5ErMg3
_chemical_formula_sum 'Ho20 Er4 Mg12'
_cell_length_a 11.3468
_cell_length_b 9.1056
_cell_length_c 11.8932
_cell_angle_alpha 90.00
_cell_angle_beta 104.47
_cell_angle_gamma 90.00
_symmetry_space_group_name_H-M 'C 1 2/m 1'
_symmetry_Int_Tables_number 12
_symmetry_space_group_name_Hall '-C 2y'
loop_
_atom_site_label
_atom_site_fract_x
_atom_site_fract_y
_atom_site_fract_z
Ho1 0.0000 0.1925 0.0000
Ho2 0.0859 0.0000 0.6314
Ho3 0.1746 0.3175 0.7944
Ho4 0.2236 0.0000 0.9322
Er1 0.1191 0.5000 0.2653
Mg1 0.0000 0.5000 0.0000
Mg2 0.0000 0.5000 0.5000
Mg3 0.0814 0.0000 0.2124
Mg4 0.2382 0.0000 0.4404
```